1.
For HoEr2Cr2C4, the PBE geometry in Alexandria gives the simulated powder XRD pattern in this record (Cu Ka).

Structure:
```
data_HoEr2Cr2C4
_chemical_formula_sum 'Ho1 Er2 Cr2 C4'
_cell_length_a 6.7016
_cell_length_b 6.7016
_cell_length_c 5.9368
_cell_angle_alpha 110.06
_cell_angle_beta 110.06
_cell_angle_gamma 29.24
_symmetry_space_group_name_H-M 'P 1'
_symmetry_Int_Tables_number 1
_symmetry_space_group_name_Hall 'P 1'
loop_
_atom_site_label
_atom_site_type_symbol
_atom_site_fract_x
_atom_site_fract_y
_atom_site_fract_z
Ho1 Ho 0.0000 0.0000 0.0000
Er1 Er 0.1351 0.1351 0.5431
Er2 Er 0.8649 0.8649 0.4569
Cr1 Cr 0.3210 0.3210 0.0151
Cr2 Cr 0.6790 0.6790 0.9849
C1 C 0.2165 0.2165 0.1942
C2 C 0.4600 0.4600 0.2538
C3 C 0.5400 0.5400 0.7462
C4 C 0.7835 0.7835 0.8058
```

Top 10 peaks for 2θ = 5–70°, sorted by position:
two_theta  I (rel.)
25.30  25
27.37  82
28.09  78
32.25  71
34.67  100
38.55  34
40.64  66
41.64  90
44.10  25
54.22  25


2.
For Li2In8Ga, the PBE geometry in Alexandria gives the simulated powder XRD pattern in this record (Cu Ka).

Structure:
```
data_Li2In8Ga
_chemical_formula_sum 'Li2 In8 Ga1'
_cell_length_a 4.7988
_cell_length_b 4.7988
_cell_length_c 11.8366
_cell_angle_alpha 90.00
_cell_angle_beta 90.00
_cell_angle_gamma 90.00
_symmetry_space_group_name_H-M 'P 1'
_symmetry_Int_Tables_number 1
_symmetry_space_group_name_Hall 'P 1'
loop_
_atom_site_label
_atom_site_type_symbol
_atom_site_fract_x
_atom_site_fract_y
_atom_site_fract_z
Li1 Li 0.0000 0.0000 0.1686
Li2 Li 0.0000 0.0000 0.8314
In1 In 0.0000 0.5000 0.0000
In2 In 0.0000 0.5000 0.3572
In3 In 0.0000 0.5000 0.6428
In4 In 0.5000 0.0000 0.0000
In5 In 0.5000 0.0000 0.3572
In6 In 0.5000 0.0000 0.6428
In7 In 0.5000 0.5000 0.1820
In8 In 0.5000 0.5000 0.8180
Ga1 Ga 0.0000 0.0000 0.5000
```

Top 10 peaks for 2θ = 5–70°, sorted by position:
two_theta  I (rel.)
19.97  12
22.54  10
23.87  14
26.26  17
34.87  100
37.48  46
46.01  8
54.05  15
60.78  13
65.95  30


3.
For Tb4ErTe7, the PBE geometry in Alexandria gives the simulated powder XRD pattern in this record (Cu Ka).

Structure:
```
data_Tb4ErTe7
_chemical_formula_sum 'Tb4 Er1 Te7'
_cell_length_a 7.4635
_cell_length_b 7.4635
_cell_length_c 13.1813
_cell_angle_alpha 103.62
_cell_angle_beta 103.62
_cell_angle_gamma 33.03
_symmetry_space_group_name_H-M 'P 1'
_symmetry_Int_Tables_number 1
_symmetry_space_group_name_Hall 'P 1'
loop_
_atom_site_label
_atom_site_type_symbol
_atom_site_fract_x
_atom_site_fract_y
_atom_site_fract_z
Tb1 Tb 0.0000 0.0000 0.0000
Tb2 Tb 0.1842 0.1842 0.7634
Tb3 Tb 0.5862 0.5862 0.3882
Tb4 Tb 0.8850 0.8850 0.5747
Er1 Er 0.7699 0.7699 0.1517
Te1 Te 0.1445 0.1445 0.2248
Te2 Te 0.2240 0.2240 0.5274
Te3 Te 0.3836 0.3836 0.0766
Te4 Te 0.5459 0.5459 0.6239
Te5 Te 0.6289 0.6289 0.9277
Te6 Te 0.8477 0.8477 0.7919
Te7 Te 0.9221 0.9221 0.3572
```

Top 10 peaks for 2θ = 5–70°, sorted by position:
two_theta  I (rel.)
21.09  51
27.12  53
28.24  84
28.55  46
29.65  100
30.54  76
32.59  45
37.05  53
42.25  46
42.61  64


4.
For CsCu2Te2Se6, the PBE geometry in Alexandria gives the simulated powder XRD pattern in this record (Cu Ka).

Structure:
```
data_CsCu2Te2Se6
_chemical_formula_sum 'Cs1 Cu2 Te2 Se6'
_cell_length_a 6.9034
_cell_length_b 7.3556
_cell_length_c 8.8777
_cell_angle_alpha 65.59
_cell_angle_beta 86.54
_cell_angle_gamma 88.05
_symmetry_space_group_name_H-M 'P 1'
_symmetry_Int_Tables_number 1
_symmetry_space_group_name_Hall 'P 1'
loop_
_atom_site_label
_atom_site_type_symbol
_atom_site_fract_x
_atom_site_fract_y
_atom_site_fract_z
Cs1 Cs 0.0000 0.0000 0.0000
Cu1 Cu 0.4699 0.3323 0.2999
Cu2 Cu 0.5301 0.6677 0.7001
Te1 Te 0.0314 0.7071 0.5820
Te2 Te 0.9686 0.2929 0.4180
Se1 Se 0.2311 0.5718 0.8381
Se2 Se 0.2439 0.5647 0.3447
Se3 Se 0.2463 0.0769 0.3396
Se4 Se 0.7537 0.9231 0.6604
Se5 Se 0.7561 0.4353 0.6553
Se6 Se 0.7689 0.4282 0.1619
```

Top 10 peaks for 2θ = 5–70°, sorted by position:
two_theta  I (rel.)
10.96  48
12.85  50
13.23  34
20.45  94
24.98  100
29.06  23
30.33  21
35.09  35
36.32  41
49.60  21


5.
For NaInH6Ir2, the PBE geometry in Alexandria gives the simulated powder XRD pattern in this record (Cu Ka).

Structure:
```
data_NaInH6Ir2
_chemical_formula_sum 'Na1 In1 H6 Ir2'
_cell_length_a 6.2428
_cell_length_b 6.2428
_cell_length_c 6.2428
_cell_angle_alpha 44.02
_cell_angle_beta 44.02
_cell_angle_gamma 44.02
_symmetry_space_group_name_H-M 'P 1'
_symmetry_Int_Tables_number 1
_symmetry_space_group_name_Hall 'P 1'
loop_
_atom_site_label
_atom_site_type_symbol
_atom_site_fract_x
_atom_site_fract_y
_atom_site_fract_z
Na1 Na 0.0000 0.0000 0.0000
In1 In 0.5000 0.5000 0.5000
H1 H 0.0080 0.5867 0.5867
H2 H 0.4133 0.4133 0.9920
H3 H 0.4133 0.9920 0.4133
H4 H 0.5867 0.0080 0.5867
H5 H 0.5867 0.5867 0.0080
H6 H 0.9920 0.4133 0.4133
Ir1 Ir 0.2049 0.2049 0.2049
Ir2 Ir 0.7951 0.7951 0.7951
```

Top 10 peaks for 2θ = 5–70°, sorted by position:
two_theta  I (rel.)
15.75  100
24.37  25
30.58  41
34.58  25
38.48  65
41.82  55
43.67  32
59.29  17
59.60  13
69.61  11


6.
For TbZn11, the PBE geometry in Alexandria gives the simulated powder XRD pattern in this record (Cu Ka).

Structure:
```
data_TbZn11
_chemical_formula_sum 'Tb2 Zn22'
_cell_length_a 8.2102
_cell_length_b 8.2102
_cell_length_c 8.2102
_cell_angle_alpha 100.00
_cell_angle_beta 100.00
_cell_angle_gamma 130.75
_symmetry_space_group_name_H-M 'P 1'
_symmetry_Int_Tables_number 1
_symmetry_space_group_name_Hall 'P 1'
loop_
_atom_site_label
_atom_site_type_symbol
_atom_site_fract_x
_atom_site_fract_y
_atom_site_fract_z
Tb1 Tb 0.3750 0.6250 0.7500
Tb2 Tb 0.6250 0.3750 0.2500
Zn1 Zn 0.0000 0.0000 0.0000
Zn2 Zn 0.0000 0.0000 0.5000
Zn3 Zn 0.0000 0.5000 0.0000
Zn4 Zn 0.1250 0.8750 0.2500
Zn5 Zn 0.1304 0.5539 0.3338
Zn6 Zn 0.1304 0.7965 0.5765
Zn7 Zn 0.2035 0.2799 0.3338
Zn8 Zn 0.2035 0.8696 0.9235
Zn9 Zn 0.2799 0.2035 0.8338
Zn10 Zn 0.2799 0.4461 0.0765
Zn11 Zn 0.4461 0.2799 0.5765
Zn12 Zn 0.4461 0.8696 0.1662
Zn13 Zn 0.5000 0.0000 0.5000
Zn14 Zn 0.5539 0.1304 0.8338
Zn15 Zn 0.5539 0.7201 0.4235
Zn16 Zn 0.7201 0.5539 0.9235
Zn17 Zn 0.7201 0.7965 0.1662
Zn18 Zn 0.7965 0.1304 0.0765
Zn19 Zn 0.7965 0.7201 0.6662
Zn20 Zn 0.8696 0.2035 0.4235
Zn21 Zn 0.8696 0.4461 0.6662
Zn22 Zn 0.8750 0.1250 0.7500
```

Top 10 peaks for 2θ = 5–70°, sorted by position:
two_theta  I (rel.)
33.29  40
37.65  100
38.13  70
40.47  32
43.30  12
44.10  13
44.94  46
46.76  27
48.30  13
68.59  30